For Pm4MgSn3, a crystal structure in Alexandria, relaxed with PBE gives the computed X-ray diffraction stick pattern in this record (copper Kα).
Intensities are scaled so that the largest is 100.

Structure:
Cell: 4.4499 4.5727 11.8144 Å, 90.00 90.00 90.00°
Element x y z (fractional)
Pm (0.0000, 0.0000, 0.0000)
Pm (0.0000, 0.5000, 0.4949)
Pm (0.5000, 0.0000, 0.7188)
Pm (0.5000, 0.5000, 0.2226)
Mg (0.0000, 0.5000, 0.7843)
Sn (0.0000, 0.0000, 0.2697)
Sn (0.5000, 0.0000, 0.4469)
Sn (0.5000, 0.5000, 0.9435)

Principal peaks in the range 2θ from 5° to 70°, sorted by position:
(hkl), 2theta, d [Å], Rel. int.
1 1 1, 29.0, 3.079, 100
0 1 3, 29.9, 2.984, 26
0 0 4, 30.3, 2.954, 32
1 1 3, 36.2, 2.478, 62
0 2 0, 39.4, 2.286, 25
2 0 0, 40.5, 2.225, 23